1.
Th2Be3Cu17: simulated X-ray diffraction stick pattern (Cu Kα), based on a cell relaxed with PBE.

Structure:
```
data_Th2Be3Cu17
_chemical_formula_sum 'Th6 Be9 Cu51'
_space_group_name_H-M_alt 'R -3 m'
_space_group_IT_number 166
_space_group_name_Hall '-R 3 2"'
_cell_length_a 9.1106
_cell_length_b 9.1106
_cell_length_c 12.7604
_cell_angle_alpha 90.00
_cell_angle_beta 90.00
_cell_angle_gamma 120.00
loop_
_atom_site_label
_atom_site_type_symbol
_atom_site_fract_x
_atom_site_fract_y
_atom_site_fract_z
Th1 Th 0.0000 0.0000 0.1643
Be1 Be 0.0000 0.5000 0.5000
Cu1 Cu 0.0000 0.0000 0.4029
Cu2 Cu 0.0000 0.2702 0.5000
Cu3 Cu 0.0000 0.5000 0.0000
Cu4 Cu 0.0006 0.5003 0.6664
```

Principal peaks in the range 15° ≤ 2θ ≤ 90°, sorted by position:
| two_theta | Rel. int. | index |
| --- | --- | --- |
| 28.72 | 66 | 1 1 3 |
| 34.09 | 41 | 3 0 0 |
| 36.21 | 20 | 0 2 4 |
| 39.57 | 84 | 2 2 0 |
| 40.32 | 100 | 3 0 3 |
| 41.45 | 27 | 2 1 4 |
| 42.51 | 37 | 0 0 6 |
| 57.77 | 38 | 4 1 3 |
| 59.46 | 37 | 2 2 6 |
| 76.30 | 19 | 3 0 9 |


2.
RbH2ICl8: simulated X-ray diffraction stick pattern (Cu Kα), based on a cell relaxed with PBE.

Structure:
```
data_RbH2ICl8
_chemical_formula_sum 'Rb1 H2 I1 Cl8'
_space_group_name_H-M_alt 'P -1'
_space_group_IT_number 2
_cell_length_a 6.9415
_cell_length_b 6.9546
_cell_length_c 9.2589
_cell_angle_alpha 80.06
_cell_angle_beta 72.92
_cell_angle_gamma 74.49
loop_
_space_group_symop_operation_xyz
'x,y,z'
'-x,-y,-z'
loop_
_atom_site_label
_atom_site_type_symbol
_atom_site_fract_x
_atom_site_fract_y
_atom_site_fract_z
Rb1 Rb 0.0000 0.0000 0.0000
H1 H 0.2726 0.5812 0.7423
I1 I 0.0000 0.0000 0.5000
Cl1 Cl 0.2083 0.1191 0.6307
Cl2 Cl 0.2302 0.0969 0.2475
Cl3 Cl 0.2358 0.6569 0.5063
Cl4 Cl 0.2899 0.5326 0.8820
```

Principal peaks in the range 15° ≤ 2θ ≤ 90°, sorted by position:
| two_theta | Rel. int. | index |
| --- | --- | --- |
| 16.79 | 100 | 1 1 0 |
| 20.17 | 40 | 0 0 2 |
| 21.25 | 88 | 1 -1 0 |
| 26.74 | 39 | 0 2 0 |
| 28.93 | 60 | 2 1 2 |
| 29.92 | 29 | 1 2 2 |
| 30.00 | 64 | 1 1 -2 |
| 32.96 | 49 | 1 -2 0 |
| 39.48 | 24 | 2 1 -2 |
| 47.64 | 28 | 3 -1 2 |


3.
LiB: simulated X-ray diffraction stick pattern (Cu Kα), based on a cell relaxed with PBE.

Structure:
```
data_LiB
_chemical_formula_sum 'Li4 B4'
_space_group_name_H-M_alt 'P m m a'
_space_group_IT_number 51
_cell_length_a 3.1156
_cell_length_b 4.0069
_cell_length_c 6.9771
_cell_angle_alpha 90.00
_cell_angle_beta 90.00
_cell_angle_gamma 90.00
loop_
_space_group_symop_operation_xyz
'x,y,z'
'-x,-y,-z'
'-x+1/2,-y,z'
'x+1/2,y,-z'
'x+1/2,-y,-z'
'-x+1/2,y,z'
'-x,y,-z'
'x,-y,z'
loop_
_atom_site_label
_atom_site_type_symbol
_atom_site_fract_x
_atom_site_fract_y
_atom_site_fract_z
Li1 Li 0.2500 0.0000 0.1650
Li2 Li 0.2500 0.5000 0.6672
B1 B 0.0000 0.5000 0.0000
B2 B 0.2500 0.0000 0.4991
```

Principal peaks in the range 15° ≤ 2θ ≤ 90°, sorted by position:
| two_theta | Rel. int. | index |
| --- | --- | --- |
| 25.53 | 51 | 0 0 2 |
| 25.64 | 100 | 0 1 1 |
| 38.80 | 45 | 1 1 1 |
| 45.07 | 75 | 0 1 3 |
| 45.26 | 37 | 0 2 0 |
| 60.91 | 13 | 2 0 1 |
| 61.07 | 8 | 1 2 2 |
| 70.21 | 11 | 2 1 2 |
| 79.05 | 12 | 2 2 1 |
| 83.46 | 11 | 0 3 3 |


4.
Ba3YHg2O6: simulated X-ray diffraction stick pattern (Cu Kα), based on a cell relaxed with PBE.

Structure:
```
data_Ba3YHg2O6
_chemical_formula_sum 'Ba3 Y1 Hg2 O6'
_space_group_name_H-M_alt 'P -3 m 1'
_space_group_IT_number 164
_space_group_name_Hall '-P 3 2"'
_cell_length_a 6.3432
_cell_length_b 6.3432
_cell_length_c 7.0044
_cell_angle_alpha 90.00
_cell_angle_beta 90.00
_cell_angle_gamma 120.00
loop_
_atom_site_label
_atom_site_type_symbol
_atom_site_fract_x
_atom_site_fract_y
_atom_site_fract_z
Ba1 Ba 0.0000 0.0000 0.0000
Ba2 Ba 0.3333 0.6667 0.6128
Y1 Y 0.0000 0.0000 0.5000
Hg1 Hg 0.3333 0.6667 0.1290
O1 O 0.1639 0.3278 0.3109
```

Principal peaks in the range 15° ≤ 2θ ≤ 90°, sorted by position:
| two_theta | Rel. int. | index |
| --- | --- | --- |
| 28.14 | 100 | 1 1 0 |
| 30.27 | 79 | 0 1 2 |
| 41.79 | 44 | 2 0 2 |
| 49.80 | 21 | 3 0 0 |
| 51.14 | 37 | 1 2 2 |
| 55.04 | 13 | 0 1 4 |
| 58.17 | 17 | 2 2 0 |
| 66.98 | 17 | 3 1 2 |
| 70.33 | 12 | 1 2 4 |
| 80.05 | 11 | 4 1 0 |


5.
PaTl2GaO6: simulated X-ray diffraction stick pattern (Cu Kα), based on a cell relaxed with PBE.

Structure:
```
data_PaTl2GaO6
_chemical_formula_sum 'Pa3 Tl6 Ga3 O18'
_space_group_name_H-M_alt 'R 3'
_space_group_IT_number 146
_space_group_name_Hall 'R 3'
_cell_length_a 5.7291
_cell_length_b 5.7291
_cell_length_c 15.1132
_cell_angle_alpha 90.00
_cell_angle_beta 90.00
_cell_angle_gamma 120.00
loop_
_atom_site_label
_atom_site_type_symbol
_atom_site_fract_x
_atom_site_fract_y
_atom_site_fract_z
Pa1 Pa 0.0000 0.0000 0.0000
Tl1 Tl 0.0000 0.0000 0.2146
Tl2 Tl 0.0000 0.0000 0.7482
Ga1 Ga 0.0000 0.0000 0.4981
O1 O 0.9997 0.4662 0.7582
O2 O 0.0171 0.6250 0.2494
```

Principal peaks in the range 15° ≤ 2θ ≤ 90°, sorted by position:
| two_theta | Rel. int. | index |
| --- | --- | --- |
| 18.82 | 27 | 1 0 1 |
| 29.72 | 100 | 1 0 4 |
| 31.22 | 98 | 1 1 0 |
| 34.75 | 19 | 0 1 5 |
| 43.65 | 46 | 0 2 4 |
| 51.78 | 14 | 0 1 8 |
| 54.64 | 42 | 2 1 4 |
| 55.57 | 24 | 3 0 0 |
| 65.13 | 15 | 2 2 0 |
| 73.20 | 16 | 4 -3 4 |


6.
AgHg3Pd2: simulated X-ray diffraction stick pattern (Cu Kα), based on a cell relaxed with PBE.

Structure:
```
data_AgHg3Pd2
_chemical_formula_sum 'Ag2 Hg6 Pd4'
_space_group_name_H-M_alt 'C m m m'
_space_group_IT_number 65
_space_group_name_Hall '-C 2 2'
_cell_length_a 4.0815
_cell_length_b 13.5440
_cell_length_c 4.0803
_cell_angle_alpha 90.00
_cell_angle_beta 90.00
_cell_angle_gamma 90.00
loop_
_atom_site_label
_atom_site_type_symbol
_atom_site_fract_x
_atom_site_fract_y
_atom_site_fract_z
Ag1 Ag 0.0000 0.0000 0.0000
Hg1 Hg 0.0000 0.3277 0.0000
Hg2 Hg 0.0000 0.5000 0.5000
Pd1 Pd 0.0000 0.1593 0.5000
```

Principal peaks in the range 15° ≤ 2θ ≤ 90°, sorted by position:
| two_theta | Rel. int. | index |
| --- | --- | --- |
| 22.75 | 5 | 1 1 0 |
| 25.49 | 7 | 0 2 1 |
| 36.97 | 100 | 1 3 1 |
| 39.94 | 24 | 0 6 0 |
| 44.40 | 30 | 2 0 0 |
| 61.23 | 25 | 2 6 0 |
| 64.60 | 10 | 2 0 2 |
| 70.59 | 15 | 1 9 1 |
| 76.82 | 26 | 3 3 1 |
| 78.71 | 12 | 2 6 2 |


7.
Ba2BO4: simulated X-ray diffraction stick pattern (Cu Kα), based on a cell relaxed with PBE.

Structure:
```
data_Ba2BO4
_chemical_formula_sum 'Ba8 B4 O16'
_space_group_name_H-M_alt 'C m c m'
_space_group_IT_number 63
_space_group_name_Hall '-C 2c 2'
_cell_length_a 8.0311
_cell_length_b 11.1731
_cell_length_c 5.6332
_cell_angle_alpha 90.00
_cell_angle_beta 90.00
_cell_angle_gamma 90.00
loop_
_atom_site_label
_atom_site_type_symbol
_atom_site_fract_x
_atom_site_fract_y
_atom_site_fract_z
Ba1 Ba 0.2293 0.1375 0.2500
B1 B 0.0000 0.1658 0.7500
O1 O 0.0000 0.2441 0.5339
O2 O 0.1546 0.0932 0.7500
```

Principal peaks in the range 15° ≤ 2θ ≤ 90°, sorted by position:
| two_theta | Rel. int. | index |
| --- | --- | --- |
| 22.14 | 38 | 2 0 0 |
| 22.41 | 71 | 0 2 1 |
| 31.72 | 100 | 0 0 2 |
| 32.04 | 18 | 0 4 0 |
| 39.06 | 29 | 2 0 2 |
| 39.29 | 27 | 2 4 0 |
| 45.75 | 20 | 0 4 2 |
| 50.98 | 18 | 4 2 1 |
| 51.37 | 23 | 0 2 3 |
| 56.56 | 14 | 2 2 3 |


Copy entry 7 word for word.
Ba2BO4: simulated X-ray diffraction stick pattern (Cu Kα), based on a cell relaxed with PBE.

Structure:
```
data_Ba2BO4
_chemical_formula_sum 'Ba8 B4 O16'
_space_group_name_H-M_alt 'C m c m'
_space_group_IT_number 63
_space_group_name_Hall '-C 2c 2'
_cell_length_a 8.0311
_cell_length_b 11.1731
_cell_length_c 5.6332
_cell_angle_alpha 90.00
_cell_angle_beta 90.00
_cell_angle_gamma 90.00
loop_
_atom_site_label
_atom_site_type_symbol
_atom_site_fract_x
_atom_site_fract_y
_atom_site_fract_z
Ba1 Ba 0.2293 0.1375 0.2500
B1 B 0.0000 0.1658 0.7500
O1 O 0.0000 0.2441 0.5339
O2 O 0.1546 0.0932 0.7500
```

Principal peaks in the range 15° ≤ 2θ ≤ 90°, sorted by position:
| two_theta | Rel. int. | index |
| --- | --- | --- |
| 22.14 | 38 | 2 0 0 |
| 22.41 | 71 | 0 2 1 |
| 31.72 | 100 | 0 0 2 |
| 32.04 | 18 | 0 4 0 |
| 39.06 | 29 | 2 0 2 |
| 39.29 | 27 | 2 4 0 |
| 45.75 | 20 | 0 4 2 |
| 50.98 | 18 | 4 2 1 |
| 51.37 | 23 | 0 2 3 |
| 56.56 | 14 | 2 2 3 |